(1)
Dy2TmTh: simulated X-ray diffraction stick pattern (Cu Kα (weighted mean of Kα1 and Kα2)), based on DFT lattice parameters and positions (GGA-PBE).

Principal peaks in the range 2θ = 10–90°, low angle first:
2θ/deg, d_spacing, I_rel
30.77, 2.905, 341
31.03, 2.882, 1000
35.77, 2.511, 229
35.98, 2.496, 451
51.47, 1.776, 165
51.80, 1.765, 161
61.32, 1.512, 195
61.62, 1.505, 192

Structural model:
```
data_Dy2TmTh
_chemical_formula_sum 'Dy8 Tm4 Th4'
_symmetry_space_group_name_H-M 'C 1 2/c 1'
_symmetry_Int_Tables_number 15
_symmetry_space_group_name_Hall '-C 2yc'
_cell_length_a 12.238
_cell_length_b 7.039
_cell_length_c 6.169
_cell_angle_alpha 90.00
_cell_angle_beta 109.62
_cell_angle_gamma 90.00
loop_
_atom_site_label
_atom_site_type_symbol
_atom_site_fract_x
_atom_site_fract_y
_atom_site_fract_z
_atom_site_occupancy
Dy1 Dy 0.247 0.125 0.248 1
Tm1 Tm 0.000 0.373 0.250 1
Th1 Th 0.000 0.121 0.750 1
```

(2)
CsK2UF8: simulated X-ray diffraction stick pattern (Cu Kα (weighted mean of Kα1 and Kα2)), based on DFT lattice parameters and positions (GGA-PBE).

Principal peaks in the range 2θ = 10–90°, low angle first:
2θ/deg, d_spacing, I_rel
16.13, 5.496, 749
24.98, 3.565, 1000
25.65, 3.472, 178
33.61, 2.667, 159
41.08, 2.197, 408
41.89, 2.156, 198
47.96, 1.897, 161
49.39, 1.845, 294

Structural model:
```
data_CsK2UF8
_chemical_formula_sum 'Cs2 K4 U2 F16'
_symmetry_space_group_name_H-M 'I -4 m 2'
_symmetry_Int_Tables_number 119
_symmetry_space_group_name_Hall 'I -4 -2'
_cell_length_a 6.099
_cell_length_b 6.099
_cell_length_c 12.671
_cell_angle_alpha 90.00
_cell_angle_beta 90.00
_cell_angle_gamma 90.00
loop_
_atom_site_label
_atom_site_type_symbol
_atom_site_fract_x
_atom_site_fract_y
_atom_site_fract_z
_atom_site_occupancy
Cs1 Cs 0.000 0.000 0.000 1
K1 K 0.000 0.000 0.500 1
K2 K 0.000 0.500 0.750 1
U1 U 0.000 0.500 0.250 1
F1 F 0.206 0.285 0.351 1
```